This entry pairs a crystal structure of Tm3ScPb2 with its calculated XRD peak list. Radiation: Cu Ka. Structure: a PBE-relaxed structure.

Structural model:
Unit cell a=6.320 b=16.535 c=6.318 alpha=90.00 beta=90.00 gamma=90.00
Space group Ibam (No. 72)
Asymmetric unit:
Tm  0.000  0.000  0.250
Tm  0.249  0.331  0.000
Sc  0.000  0.500  0.250
Pb  0.245  0.360  0.500

Peak list (10 most intense, 10° ≤ 2θ ≤ 80°, by angle)
3.160 Å, 2θ = 28.24°, rel. 46, hkl 0 0 2
2.951 Å, 2θ = 30.28°, rel. 59, hkl 2 2 0
2.756 Å, 2θ = 32.49°, rel. 33, hkl 0 6 0
2.510 Å, 2θ = 35.77°, rel. 100, hkl 0 4 2
2.346 Å, 2θ = 38.38°, rel. 21, hkl 1 6 1
2.234 Å, 2θ = 40.37°, rel. 58, hkl 2 0 2
1.735 Å, 2θ = 52.75°, rel. 34, hkl 2 6 2
1.580 Å, 2θ = 58.42°, rel. 20, hkl 0 0 4
1.371 Å, 2θ = 68.45°, rel. 16, hkl 0 6 4
1.337 Å, 2θ = 70.42°, rel. 28, hkl 2 4 4